No. 1
# Ba2AsPtAu6
Simulated powder XRD pattern, Cu Kα (weighted mean of Kα1 and Kα2). Input: the PBE geometry in Alexandria.
Intensities are scaled so that the largest is 1000.

Atomic structure:
```
data_Ba2AsPtAu6
_space_group_name_H-M_alt 'I m m m'
_space_group_IT_number 71
_space_group_name_Hall '-I 2 2'
_cell_length_a 6.904
_cell_length_b 7.455
_cell_length_c 10.356
_cell_angle_alpha 90.00
_cell_angle_beta 90.00
_cell_angle_gamma 90.00
loop_
_atom_site_label
_atom_site_type_symbol
_atom_site_fract_x
_atom_site_fract_y
_atom_site_fract_z
Ba1 Ba 0.000 0.000 0.214
As1 As 0.000 0.500 0.000
Pt1 Pt 0.000 0.500 0.500
Au1 Au 0.000 0.500 0.247
Au2 Au 0.211 0.208 0.500
```

Peak list (8 most intense, 2θ = 5–70°, by angle)
2θ/deg  Rel. int.
17.12  224
17.51  287
29.53  753
31.14  676
34.65  593
35.44  1000
50.40  649
53.04  217

=====

No. 2
# BaScAs2Au
Simulated powder XRD pattern, Cu Kα (weighted mean of Kα1 and Kα2). Input: the PBE geometry in Alexandria.
Intensities are scaled so that the largest is 1000.

Atomic structure:
```
data_BaScAs2Au
_space_group_name_H-M_alt 'P 1 2/c 1'
_space_group_IT_number 13
_cell_length_a 7.555
_cell_length_b 5.265
_cell_length_c 7.350
_cell_angle_alpha 90.00
_cell_angle_beta 104.03
_cell_angle_gamma 90.00
loop_
_space_group_symop_operation_xyz
'x,y,z'
'-x,-y,-z'
'-x,y,-z+1/2'
'x,-y,z+1/2'
loop_
_atom_site_label
_atom_site_type_symbol
_atom_site_fract_x
_atom_site_fract_y
_atom_site_fract_z
Ba1 Ba 0.000 0.193 0.250
Sc1 Sc 0.500 0.478 0.750
As1 As 0.254 0.325 0.950
Au1 Au 0.500 0.000 0.000
```

Peak list (8 most intense, 2θ = 5–70°, by angle)
2θ/deg  Rel. int.
12.07  407
24.98  1000
25.76  788
29.70  571
30.28  601
34.98  879
36.26  534
43.05  508

=====

No. 3
# BaTe2As2Au6
Simulated powder XRD pattern, Cu Kα (weighted mean of Kα1 and Kα2). Input: the PBE geometry in Alexandria.
Intensities are scaled so that the largest is 1000.

Atomic structure:
```
data_BaTe2As2Au6
_space_group_name_H-M_alt 'P -1'
_space_group_IT_number 2
_cell_length_a 5.092
_cell_length_b 6.253
_cell_length_c 9.968
_cell_angle_alpha 103.93
_cell_angle_beta 91.33
_cell_angle_gamma 105.33
loop_
_space_group_symop_operation_xyz
'x,y,z'
'-x,-y,-z'
loop_
_atom_site_label
_atom_site_type_symbol
_atom_site_fract_x
_atom_site_fract_y
_atom_site_fract_z
Ba1 Ba 0.000 0.000 0.000
Te1 Te 0.312 0.822 0.614
As1 As 0.056 0.461 0.269
Au1 Au 0.060 0.165 0.638
Au2 Au 0.297 0.532 0.913
Au3 Au 0.436 0.817 0.175
```

Peak list (8 most intense, 2θ = 5–70°, by angle)
2θ/deg  Rel. int.
15.62  770
19.58  349
29.32  1000
32.91  459
34.35  319
34.82  599
35.65  368
39.50  312

=====

No. 4
# NaBe2AsAu2
Simulated powder XRD pattern, Cu Kα (weighted mean of Kα1 and Kα2). Input: the PBE geometry in Alexandria.
Intensities are scaled so that the largest is 1000.

Atomic structure:
```
data_NaBe2AsAu2
_space_group_name_H-M_alt 'P 4/m m m'
_space_group_IT_number 123
_space_group_name_Hall '-P 4 2'
_cell_length_a 4.405
_cell_length_b 4.405
_cell_length_c 5.606
_cell_angle_alpha 90.00
_cell_angle_beta 90.00
_cell_angle_gamma 90.00
loop_
_atom_site_label
_atom_site_type_symbol
_atom_site_fract_x
_atom_site_fract_y
_atom_site_fract_z
Na1 Na 0.000 0.000 0.000
Be1 Be 0.000 0.500 0.500
As1 As 0.000 0.000 0.500
Au1 Au 0.500 0.500 0.244
```

Peak list (8 most intense, 2θ = 5–70°, by angle)
2θ/deg  Rel. int.
20.16  828
28.66  1000
38.05  1000
40.98  428
43.43  264
46.08  208
57.15  615
67.21  181